1.
# W3NO9
Theoretical powder diffraction line list, Cu Kα (weighted mean of Kα1 and Kα2). Input: DFT lattice parameters and positions (GGA+U).
Peak positions follow from Bragg's law for the DFT cell and can differ from measured ones.

Structure:
```
W3NO9
1.0
7.520 0.000 0.000
-3.760 6.512 0.000
0.000 0.000 7.712
W N O
6 2 18
Direct
0.000 0.486 0.250
0.000 0.514 0.750
0.486 0.000 0.250
0.486 0.486 0.750
0.514 0.000 0.750
0.514 0.514 0.250
0.000 0.000 0.000
0.000 0.000 0.500
0.000 0.500 0.000
0.000 0.500 0.500
0.211 0.427 0.750
0.211 0.784 0.250
0.216 0.427 0.250
0.216 0.789 0.750
0.427 0.211 0.750
0.427 0.216 0.250
0.500 0.000 0.000
0.500 0.000 0.500
0.500 0.500 0.000
0.500 0.500 0.500
0.573 0.784 0.750
0.573 0.789 0.250
0.784 0.211 0.250
0.784 0.573 0.750
0.789 0.216 0.750
0.789 0.573 0.250
```

Top 6 peaks for 10 to 90 degrees two-theta, by intensity:
d (Å)	Position (°2θ)	I/Imax
3.256	27.4	100
6.512	13.6	64
2.488	36.1	58
3.856	23.1	54
1.659	55.4	28
3.318	26.9	24

***

2.
# Yb2WN2O3
Theoretical powder diffraction line list, Cu Kα (weighted mean of Kα1 and Kα2). Input: DFT lattice parameters and positions (GGA+U).
Peak positions follow from Bragg's law for the DFT cell and can differ from measured ones.

Structure:
```
Yb2WN2O3
1.0
-1.780 1.780 8.405
1.780 -1.780 8.405
1.780 1.780 -8.405
Yb W N O
2 1 2 3
Direct
0.158 0.158 0.000
0.842 0.842 0.000
0.500 0.500 0.000
0.564 0.064 0.500
0.936 0.436 0.500
0.080 0.580 0.500
0.250 0.750 0.500
0.420 0.920 0.500
```

Top 6 peaks for 10 to 90 degrees two-theta, by intensity:
d (Å)	Position (°2θ)	I/Imax
3.004	29.7	100
1.872	48.6	31
1.531	60.5	27
2.517	35.7	23
1.654	55.6	15
2.802	31.9	14